(1)
Diffraction record for La4InAuO. The X-ray diffraction stick pattern is calculated, not measured: it uses a crystal structure in Alexandria, relaxed with GGA-PBE and Cu Kα (λ = 1.5418 Å).

Crystal structure
```
data_La4InAuO
_cell_length_a 7.0401
_cell_length_b 16.2171
_cell_length_c 7.0631
_cell_angle_alpha 90.00
_cell_angle_beta 90.00
_cell_angle_gamma 90.00
_symmetry_space_group_name_H-M 'C m c m'
_symmetry_Int_Tables_number 63
_symmetry_space_group_name_Hall '-C 2c 2'
loop_
_atom_site_label
_atom_site_fract_x
_atom_site_fract_y
_atom_site_fract_z
La1 0.0000 0.0595 0.2500
La2 0.0000 0.4196 0.2500
La3 0.2500 0.2500 0.0000
In1 0.0000 0.3854 0.7500
Au1 0.0000 0.1212 0.7500
O1 0.0000 0.2569 0.2500
```

Top 12 peaks for 10° ≤ 2θ ≤ 80°, by intensity:
33.69°, 2.660 Å, rel. 100, hkl 2 4 0
27.59°, 3.233 Å, rel. 91, hkl 2 2 0
36.02°, 2.493 Å, rel. 85, hkl 2 0 2
32.94°, 2.719 Å, rel. 45, hkl 1 5 1
25.26°, 3.526 Å, rel. 30, hkl 2 0 0
49.75°, 1.833 Å, rel. 29, hkl 2 6 2
49.61°, 1.838 Å, rel. 28, hkl 3 5 1
33.14°, 2.703 Å, rel. 23, hkl 0 6 0
63.22°, 1.471 Å, rel. 16, hkl 2 4 4
63.34°, 1.468 Å, rel. 16, hkl 4 4 2
51.77°, 1.766 Å, rel. 15, hkl 0 0 4
51.95°, 1.760 Å, rel. 15, hkl 4 0 0

(2)
Diffraction record for Ac2AlCuGe. The X-ray diffraction stick pattern is calculated, not measured: it uses a crystal structure in Alexandria, relaxed with GGA-PBE and Cu Kα (λ = 1.5418 Å).

Crystal structure
```
data_Ac2AlCuGe
_cell_length_a 4.4557
_cell_length_b 4.4557
_cell_length_c 14.7731
_cell_angle_alpha 90.00
_cell_angle_beta 90.00
_cell_angle_gamma 90.00
_symmetry_space_group_name_H-M 'P 4/n m m'
_symmetry_Int_Tables_number 129
loop_
_symmetry_equiv_pos_as_xyz
'x,y,z'
'-x,-y,-z'
'-y+1/2,x,z'
'y+1/2,-x,-z'
'-x+1/2,-y+1/2,z'
'x+1/2,y+1/2,-z'
'y,-x+1/2,z'
'-y,x+1/2,-z'
'x+1/2,-y,-z'
'-x+1/2,y,z'
'-y,-x,-z'
'y,x,z'
'-x,y+1/2,-z'
'x,-y+1/2,z'
'y+1/2,x+1/2,-z'
'-y+1/2,-x+1/2,z'
loop_
_atom_site_label
_atom_site_fract_x
_atom_site_fract_y
_atom_site_fract_z
Ac1 0.2500 0.2500 0.1067
Ac2 0.2500 0.2500 0.6734
Al1 0.2500 0.7500 0.5000
Cu1 0.2500 0.2500 0.4116
Ge1 0.2500 0.2500 0.8841
```

Top 12 peaks for 10° ≤ 2θ ≤ 80°, by intensity:
28.33°, 3.151 Å, rel. 100, hkl 1 1 0
23.31°, 3.815 Å, rel. 67, hkl 1 0 2
37.52°, 2.397 Å, rel. 53, hkl 1 1 4
47.68°, 1.907 Å, rel. 48, hkl 1 0 7
40.49°, 2.228 Å, rel. 47, hkl 2 0 0
26.99°, 3.304 Å, rel. 40, hkl 1 0 3
24.10°, 3.693 Å, rel. 31, hkl 0 0 4
64.29°, 1.449 Å, rel. 31, hkl 2 1 7
41.92°, 2.155 Å, rel. 26, hkl 1 1 5
47.25°, 1.924 Å, rel. 22, hkl 2 1 2
63.95°, 1.456 Å, rel. 21, hkl 1 1 9
30.25°, 2.955 Å, rel. 21, hkl 0 0 5